Simulated PXRD pattern
Compound: NpV2HgO8
Radiation: copper Kα
Structure: a DFT-relaxed cell (PBE+U, Alexandria)
No peak broadening, texture or thermal motion is included.

The 6 most intense peaks (2θ = 5–70°), in order of rising 2θ:
17.36°, intensity 100
26.75°, intensity 91
26.84°, intensity 23
30.30°, intensity 53
40.81°, intensity 21
51.66°, intensity 26

Atomic structure:
```
NpV2HgO8
1.0
5.107 -2.951 0.000
5.107 2.951 0.000
-0.041 0.000 8.782
Np V Hg O
1 2 1 8
Cartesian
0.000 0.000 0.000
3.412 0.000 1.765
6.762 0.000 7.016
-0.020 0.000 4.391
1.722 0.000 1.146
4.268 1.471 1.175
5.907 1.471 7.606
3.395 0.000 3.380
6.779 0.000 5.402
4.268 -1.471 1.175
5.907 -1.471 7.606
8.452 0.000 7.635
```